PmHo2ScIn4: theoretical powder X-ray diffraction pattern (Cu Kα (weighted mean of Kα1 and Kα2)), based on a crystal structure in Alexandria, relaxed with PBE.
No peak broadening, texture or thermal motion is included.

Crystal structure
Lattice parameters (Å, degrees): 9.1725 9.1725 9.1725 33.36 33.36 33.36
Fractional positions:
Pm: 0.0000 0.0000 0.0000
Ho: 0.2489 0.2489 0.2489
Ho: 0.7511 0.7511 0.7511
Sc: 0.5000 0.5000 0.5000
In: 0.1276 0.1276 0.1276
In: 0.3780 0.3780 0.3780
In: 0.6220 0.6220 0.6220
In: 0.8724 0.8724 0.8724

Main lines, by angle (5 to 70 degrees two-theta):
2θ (°), d_spacing, intensity
10.22, 8.654, 3
19.77, 4.492, 4
20.64, 4.303, 6
26.00, 3.426, 4
33.90, 2.644, 100
34.05, 2.633, 100
40.11, 2.248, 4
48.81, 1.866, 35
60.57, 1.529, 18
60.88, 1.522, 54